Calculated powder X-ray diffraction pattern of ZrTaW14 for CuKα, from a PBE-relaxed structure.
No peak broadening, texture or thermal motion is included.

Principal peaks in the range 2θ from 15° to 90°, sorted by position:
2θ (°)  I/Imax
19.56  1
39.68  50
39.75  100
57.37  17
57.58  9
72.00  17
72.13  26
72.22  9
85.39  3
85.66  14

Atomic structure:
Cell: 5.5542 5.5542 9.0947 Å, 90.00 90.00 109.60°
Positions (direct):
Zr: 0.0000 0.0000 0.0000
Ta: 0.5000 0.5000 0.0000
W: 0.0000 0.0000 0.5000
W: 0.0000 0.5000 0.0000
W: 0.0000 0.5000 0.5000
W: 0.2514 0.2514 0.2569
W: 0.2514 0.2514 0.7431
W: 0.2506 0.7494 0.2521
W: 0.2506 0.7494 0.7479
W: 0.5000 0.0000 0.0000
W: 0.5000 0.0000 0.5000
W: 0.5000 0.5000 0.5000
W: 0.7494 0.2506 0.2521
W: 0.7494 0.2506 0.7479
W: 0.7486 0.7486 0.2569
W: 0.7486 0.7486 0.7431